# 1
The following is a computed powder XRD pattern of Tl2HgSbS4. It was derived from a structure optimized by DFT (GGA-PBE), using Cu Kα (λ = 1.5418 Å).

Top 10 peaks for 10 to 90 degrees two-theta, most intense first:
two_theta, intensity
27.7, 100
25.7, 69
24.4, 39
32.9, 37
26.1, 32
42.5, 31
44.5, 27
39.0, 21
52.9, 17
46.3, 16

a b c (Å): 9.2574 8.9770 6.9218
angles (deg): 90.00 128.08 90.00
Element x y z (fractional)
Tl  0.0000  0.0000  0.0000
Tl  0.0000  0.2641  0.5000
Tl  0.5000  0.5000  0.0000
Tl  0.5000  0.7641  0.5000
Hg  0.0000  0.4597  0.0000
Hg  0.5000  0.9597  0.0000
Sb  0.0000  0.7327  0.5000
Sb  0.5000  0.2327  0.5000
S  0.1798  0.5640  0.4403
S  0.2421  0.2828  0.0321
S  0.2579  0.7828  0.9679
S  0.3202  0.0640  0.5597
S  0.6798  0.0640  0.4403
S  0.7421  0.7828  0.0321
S  0.7579  0.2828  0.9679
S  0.8202  0.5640  0.5597

***

# 2
The following is a computed powder XRD pattern of Hg3Se2S. It was derived from a structure optimized by DFT (GGA-PBE), using Cu Kα (λ = 1.5418 Å).

Top 10 peaks for 10 to 90 degrees two-theta, most intense first:
two_theta, intensity
25.0, 100
41.4, 63
48.9, 49
28.9, 21
75.5, 21
66.0, 20
80.9, 14
60.0, 10
67.9, 8
89.9, 7

a b c (Å): 7.5600 7.5600 7.5576
angles (deg): 99.61 99.61 120.00
Element x y z (fractional)
Hg  0.0781  0.9219  0.5000
Hg  0.2415  0.7537  0.9879
Hg  0.4008  0.5679  0.4866
Hg  0.5679  0.4008  0.9866
Hg  0.7537  0.2415  0.4879
Hg  0.9219  0.0781  0.0000
Se  0.3665  0.8707  0.3671
Se  0.5355  0.7036  0.8666
Se  0.7036  0.5355  0.3666
Se  0.8707  0.3665  0.8671
S  0.0374  0.2003  0.3663
S  0.2003  0.0374  0.8663

***

# 3
The following is a computed powder XRD pattern of Hg2Se2S5. It was derived from a structure optimized by DFT (GGA-PBE), using Cu Kα (λ = 1.5418 Å).

Top 10 peaks for 10 to 90 degrees two-theta, most intense first:
two_theta, intensity
15.7, 100
26.5, 52
17.7, 49
24.5, 47
29.8, 43
25.3, 40
27.1, 37
25.5, 34
31.6, 32
21.2, 31

a b c (Å): 12.2738 12.2738 4.4604
angles (deg): 92.66 92.66 54.68
Element x y z (fractional)
Hg  0.1619  0.1619  0.2476
Hg  0.2173  0.3848  0.6176
Hg  0.6152  0.7827  0.3824
Hg  0.8381  0.8381  0.7524
Se  0.0453  0.3356  0.6759
Se  0.3237  0.6763  0.0000
Se  0.6644  0.9547  0.3241
Se  0.9620  0.0380  0.5000
S  0.0485  0.6550  0.9970
S  0.1434  0.7243  0.2364
S  0.2757  0.8566  0.7636
S  0.3450  0.9515  0.0030
S  0.4034  0.3772  0.4070
S  0.4566  0.2541  0.0536
S  0.6228  0.5966  0.5930
S  0.7459  0.5434  0.9464
S  0.7975  0.1348  0.1494
S  0.8652  0.2025  0.8506

***

# 4
The following is a computed powder XRD pattern of Sn2HgSeS3. It was derived from a structure optimized by DFT (GGA-PBE), using Cu Kα (λ = 1.5418 Å).

Top 10 peaks for 10 to 90 degrees two-theta, most intense first:
two_theta, intensity
25.4, 100
25.9, 98
22.3, 93
45.4, 90
26.1, 76
44.2, 73
41.0, 68
31.3, 38
21.7, 30
34.7, 30

a b c (Å): 8.2030 8.2030 8.2030
angles (deg): 58.28 58.28 58.28
Element x y z (fractional)
Sn  0.0000  0.0000  0.0000
Sn  0.0000  0.0000  0.5000
Sn  0.0000  0.5000  0.0000
Sn  0.5000  0.0000  0.0000
Hg  0.3925  0.3925  0.3925
Hg  0.6075  0.6075  0.6075
Se  0.2486  0.2486  0.2486
Se  0.7514  0.7514  0.7514
S  0.2179  0.7498  0.7498
S  0.2502  0.2502  0.7821
S  0.2502  0.7821  0.2502
S  0.7498  0.2179  0.7498
S  0.7498  0.7498  0.2179
S  0.7821  0.2502  0.2502

***

# 5
The following is a computed powder XRD pattern of TlHgSeS. It was derived from a structure optimized by DFT (GGA-PBE), using Cu Kα (λ = 1.5418 Å).

Top 10 peaks for 10 to 90 degrees two-theta, most intense first:
two_theta, intensity
24.6, 100
39.7, 39
40.8, 39
28.2, 32
23.7, 31
47.8, 29
46.8, 19
48.2, 17
65.0, 14
73.6, 13

a b c (Å): 4.4195 4.4195 22.5385
angles (deg): 90.00 90.00 120.00
Element x y z (fractional)
Tl  0.0000  0.0000  0.0000
Tl  0.3333  0.6667  0.6667
Tl  0.6667  0.3333  0.3333
Hg  0.0000  0.0000  0.4902
Hg  0.3333  0.6667  0.1569
Hg  0.6667  0.3333  0.8235
Se  0.0000  0.0000  0.6115
Se  0.3333  0.6667  0.2782
Se  0.6667  0.3333  0.9448
S  0.0000  0.0000  0.1233
S  0.3333  0.6667  0.7900
S  0.6667  0.3333  0.4566

***

# 6
The following is a computed powder XRD pattern of Sn2HgS4. It was derived from a structure optimized by DFT (GGA-PBE), using Cu Kα (λ = 1.5418 Å).

Top 10 peaks for 10 to 90 degrees two-theta, most intense first:
two_theta, intensity
20.0, 100
26.3, 82
42.5, 81
31.0, 60
16.9, 43
28.4, 37
45.7, 30
60.3, 21
82.3, 19
51.9, 18

a b c (Å): 8.8837 8.8837 6.5056
angles (deg): 90.00 90.00 90.00
Element x y z (fractional)
Sn  0.0000  0.5000  0.2500
Sn  0.0000  0.5000  0.7500
Sn  0.5000  0.0000  0.2500
Sn  0.5000  0.0000  0.7500
Hg  0.0000  0.0000  0.0000
Hg  0.5000  0.5000  0.5000
S  0.0836  0.6869  0.5000
S  0.1869  0.4164  0.0000
S  0.3131  0.0836  0.5000
S  0.4164  0.8131  0.0000
S  0.5836  0.1869  0.0000
S  0.6869  0.9164  0.5000
S  0.8131  0.5836  0.0000
S  0.9164  0.3131  0.5000

***

# 7
The following is a computed powder XRD pattern of SnHgS2. It was derived from a structure optimized by DFT (GGA-PBE), using Cu Kα (λ = 1.5418 Å).

Top 10 peaks for 10 to 90 degrees two-theta, most intense first:
two_theta, intensity
32.1, 100
18.6, 93
28.1, 80
49.4, 39
28.6, 34
30.7, 33
35.7, 29
37.8, 25
53.3, 23
53.2, 21

a b c (Å): 3.6896 3.6899 9.7508
angles (deg): 79.22 89.92 60.00
Element x y z (fractional)
Sn  0.0000  0.0000  0.0000
Hg  0.8265  0.3426  0.4923
S  0.3839  0.2310  0.1560
S  0.6160  0.7692  0.8439

***

# 8
The following is a computed powder XRD pattern of SnHg3S4. It was derived from a structure optimized by DFT (GGA-PBE), using Cu Kα (λ = 1.5418 Å).

Top 10 peaks for 10 to 90 degrees two-theta, most intense first:
two_theta, intensity
27.1, 100
44.7, 43
24.1, 41
24.5, 38
42.4, 37
49.6, 35
34.6, 24
51.1, 19
79.3, 17
68.5, 16

a b c (Å): 8.5134 7.3807 7.2743
angles (deg): 90.00 90.00 90.00
Element x y z (fractional)
Sn  0.0000  0.1660  0.0000
Sn  0.5000  0.8340  0.5000
Hg  0.0000  0.8233  0.5081
Hg  0.2478  0.6644  0.0091
Hg  0.2522  0.3356  0.5091
Hg  0.5000  0.1767  0.0081
Hg  0.7478  0.3356  0.5091
Hg  0.7522  0.6644  0.0091
S  0.0000  0.1623  0.5969
S  0.0000  0.8213  0.1467
S  0.2437  0.6611  0.6476
S  0.2563  0.3389  0.1476
S  0.5000  0.1787  0.6467
S  0.5000  0.8377  0.0969
S  0.7437  0.3389  0.1476
S  0.7563  0.6611  0.6476

***

# 9
The following is a computed powder XRD pattern of SnHgS2. It was derived from a structure optimized by DFT (GGA-PBE), using Cu Kα (λ = 1.5418 Å).

Top 10 peaks for 10 to 90 degrees two-theta, most intense first:
two_theta, intensity
30.6, 100
18.6, 70
28.6, 58
37.7, 55
42.4, 37
49.4, 29
53.2, 29
53.1, 23
63.8, 21
80.7, 16

a b c (Å): 6.3907 3.6898 9.7827
angles (deg): 90.00 102.48 90.00
Element x y z (fractional)
Sn  0.0000  0.0000  0.0000
Sn  0.5000  0.5000  0.0000
Hg  0.0000  0.5036  0.5000
Hg  0.5000  0.0036  0.5000
S  0.2182  0.5002  0.1556
S  0.2818  0.0002  0.8444
S  0.7182  0.0002  0.1556
S  0.7818  0.5002  0.8444

***

# 10
The following is a computed powder XRD pattern of SnHgS2. It was derived from a structure optimized by DFT (GGA-PBE), using Cu Kα (λ = 1.5418 Å).

Top 10 peaks for 10 to 90 degrees two-theta, most intense first:
two_theta, intensity
28.9, 100
23.4, 98
26.1, 94
28.7, 90
26.3, 76
21.3, 69
47.6, 59
23.5, 53
19.4, 49
41.3, 43

a b c (Å): 7.6381 7.6381 18.8285
angles (deg): 96.22 96.22 90.01
Element x y z (fractional)
Sn  0.0823  0.7072  0.8220
Sn  0.2924  0.4217  0.6772
Sn  0.2928  0.9177  0.6780
Sn  0.4217  0.2924  0.1772
Sn  0.5783  0.7076  0.8228
Sn  0.7072  0.0823  0.3220
Sn  0.7076  0.5783  0.3229
Sn  0.9177  0.2928  0.1780
Hg  0.1418  0.7670  0.0762
Hg  0.2330  0.8582  0.4238
Hg  0.2355  0.3515  0.4310
Hg  0.3515  0.2355  0.9310
Hg  0.6485  0.7645  0.0690
Hg  0.7645  0.6485  0.5690
Hg  0.7670  0.1418  0.5762
Hg  0.8582  0.2330  0.9238
S  0.0458  0.4243  0.7487
S  0.0468  0.9532  0.7500
S  0.1476  0.2728  0.0971
S  0.2720  0.6482  0.5945
S  0.2728  0.1476  0.5971
S  0.3518  0.7280  0.9055
S  0.4243  0.0458  0.2487
S  0.4243  0.5757  0.2500
S  0.5757  0.4243  0.7500
S  0.5757  0.9542  0.7513
S  0.6482  0.2720  0.0945
S  0.7272  0.8524  0.4029
S  0.7280  0.3518  0.4055
S  0.8524  0.7272  0.9029
S  0.9532  0.0468  0.2500
S  0.9542  0.5757  0.2513

***

# 11
The following is a computed powder XRD pattern of Sn2HgS3. It was derived from a structure optimized by DFT (GGA-PBE), using Cu Kα (λ = 1.5418 Å).

Top 10 peaks for 10 to 90 degrees two-theta, most intense first:
two_theta, intensity
28.8, 100
24.1, 84
43.4, 53
27.2, 49
46.5, 45
10.5, 35
31.7, 35
51.8, 23
36.9, 19
45.1, 16

a b c (Å): 4.0184 16.9304 4.8681
angles (deg): 90.00 90.00 90.00
Element x y z (fractional)
Sn  0.0000  0.1524  0.0000
Sn  0.0000  0.8476  0.0000
Sn  0.5000  0.3476  0.5000
Sn  0.5000  0.6524  0.5000
Hg  0.0000  0.5000  0.0212
Hg  0.5000  0.0000  0.5212
S  0.0000  0.0000  0.8843
S  0.0000  0.3569  0.8615
S  0.0000  0.6431  0.8615
S  0.5000  0.1431  0.3615
S  0.5000  0.5000  0.3843
S  0.5000  0.8569  0.3615

***

# 12
The following is a computed powder XRD pattern of SnHg4S6. It was derived from a structure optimized by DFT (GGA-PBE), using Cu Kα (λ = 1.5418 Å).

Top 10 peaks for 10 to 90 degrees two-theta, most intense first:
two_theta, intensity
28.0, 100
25.2, 91
23.9, 90
24.9, 78
28.3, 74
29.4, 69
21.9, 49
44.5, 41
24.0, 40
32.6, 37

a b c (Å): 7.4122 7.4122 12.8261
angles (deg): 106.20 106.20 60.72
Element x y z (fractional)
Sn  0.2315  0.7685  0.5000
Sn  0.7685  0.2315  0.0000
Hg  0.9996  0.1357  0.7553
Hg  0.1293  0.3620  0.5604
Hg  0.1357  0.9996  0.2553
Hg  0.2234  0.6342  0.9087
Hg  0.3620  0.1293  0.0604
Hg  0.6323  0.8275  0.7514
Hg  0.6342  0.2234  0.4087
Hg  0.8275  0.6323  0.2514
S  0.1963  0.6535  0.3047
S  0.3436  0.8945  0.8693
S  0.4330  0.9608  0.5627
S  0.4409  0.4484  0.5756
S  0.4484  0.4409  0.0756
S  0.4986  0.9905  0.2479
S  0.6535  0.1963  0.8047
S  0.8945  0.3436  0.3693
S  0.8967  0.9529  0.5562
S  0.9529  0.8967  0.0562
S  0.9608  0.4330  0.0627
S  0.9905  0.4986  0.7479